For ErSiGeW4, the PBE geometry in OQMD gives the simulated powder diffraction line list in this record (Cu Ka).
Peak positions follow from Bragg's law for the DFT cell and can differ from measured ones.

Principal peaks in the range 2θ = 10–90°, by angle:
2θ 10.95, I 34
2θ 33.27, I 19
2θ 37.38, I 100
2θ 41.42, I 24
2θ 43.80, I 21
2θ 53.67, I 11
2θ 69.98, I 10
2θ 72.88, I 16

Structural model:
Cell lengths 3.4157, 8.3685, 8.3685 Å; angles 30.20, 90.00, 90.00 degrees
Atoms (fractional coordinates):
1 Er 0.0000 0.0000 0.0000
2 Si 0.5000 0.4266 0.4266
3 Ge 0.5000 0.5747 0.5747
4 W 0.0000 0.3155 0.3155
5 W 0.0000 0.6927 0.6927
6 W 0.5000 0.1785 0.1785
7 W 0.5000 0.8289 0.8289

For YErTa2Ge2, the PBE geometry in OQMD gives the simulated powder diffraction line list in this record (Cu Ka).
Peak positions follow from Bragg's law for the DFT cell and can differ from measured ones.

Principal peaks in the range 2θ = 10–90°, by angle:
2θ 11.33, I 56
2θ 31.95, I 28
2θ 33.56, I 100
2θ 34.44, I 31
2θ 39.20, I 87
2θ 45.12, I 49
2θ 57.97, I 28
2θ 79.27, I 23

Structural model:
Cell lengths 4.0188, 4.0188, 7.8124 Å; angles 90.00, 90.00, 90.00 degrees
Atoms (fractional coordinates):
1 Y 0.0000 0.0000 0.0000
2 Er 0.5000 0.5000 0.2969
3 Ta 0.0000 0.5000 0.6465
4 Ta 0.5000 0.0000 0.6465
5 Ge 0.0000 0.0000 0.3995
6 Ge 0.5000 0.5000 0.8936

For HoErH2I2, the PBE geometry in OQMD gives the simulated powder diffraction line list in this record (Cu Ka).
Peak positions follow from Bragg's law for the DFT cell and can differ from measured ones.

Principal peaks in the range 2θ = 10–90°, by angle:
2θ 16.96, I 9
2θ 28.74, I 100
2θ 34.32, I 11
2θ 34.93, I 15
2θ 35.09, I 31
2θ 46.49, I 29
2θ 55.61, I 11
2θ 75.25, I 11

Structural model:
Cell lengths 3.9070, 3.9070, 10.6805 Å; angles 100.25, 100.25, 60.00 degrees
Atoms (fractional coordinates):
1 Ho 0.0000 0.0000 0.0000
2 Er 0.7479 0.7479 0.2513
3 H 0.0678 0.0678 0.2099
4 H 0.6806 0.6806 0.0429
5 I 0.2690 0.2690 0.8014
6 I 0.4786 0.4786 0.4489

For NaErH6Ir, the PBE geometry in OQMD gives the simulated powder diffraction line list in this record (Cu Ka).
Peak positions follow from Bragg's law for the DFT cell and can differ from measured ones.

Principal peaks in the range 2θ = 10–90°, by angle:
2θ 22.21, I 93
2θ 36.66, I 100
2θ 43.28, I 50
2θ 52.81, I 18
2θ 57.97, I 21
2θ 66.00, I 36
2θ 82.26, I 16
2θ 89.36, I 17

Structural model:
Cell lengths 4.9032, 4.9032, 4.9032 Å; angles 60.00, 60.00, 60.00 degrees
Atoms (fractional coordinates):
1 Na 0.0000 0.0000 0.0000
2 Er 0.5000 0.5000 0.5000
3 H 0.0014 0.0014 0.4986
4 H 0.0014 0.4986 0.0014
5 H 0.0014 0.4986 0.4986
6 H 0.4986 0.0014 0.0014
7 H 0.4986 0.0014 0.4986
8 H 0.4986 0.4986 0.0014
9 Ir 0.2500 0.2500 0.2500

For ErNi2H6, the PBE geometry in OQMD gives the simulated powder diffraction line list in this record (Cu Ka).
Peak positions follow from Bragg's law for the DFT cell and can differ from measured ones.

Principal peaks in the range 2θ = 10–90°, by angle:
2θ 23.82, I 19
2θ 32.63, I 100
2θ 41.88, I 41
2θ 44.83, I 11
2θ 54.08, I 24
2θ 63.02, I 24
2θ 70.66, I 21
2θ 74.90, I 9

Structural model:
Cell lengths 4.3140, 4.3140, 4.0436 Å; angles 90.00, 90.00, 120.00 degrees
Atoms (fractional coordinates):
1 Er 0.0000 0.0000 0.0000
2 Ni 0.3333 0.6667 0.5000
3 Ni 0.6667 0.3333 0.5000
4 H 0.0000 0.5000 0.2383
5 H 0.0000 0.5000 0.7617
6 H 0.5000 0.0000 0.2383
7 H 0.5000 0.0000 0.7617
8 H 0.5000 0.5000 0.2383
9 H 0.5000 0.5000 0.7617

For ErSiHO4, the PBE geometry in OQMD gives the simulated powder diffraction line list in this record (Cu Ka).
Peak positions follow from Bragg's law for the DFT cell and can differ from measured ones.

Principal peaks in the range 2θ = 10–90°, by angle:
2θ 11.59, I 100
2θ 21.23, I 84
2θ 29.41, I 80
2θ 31.73, I 66
2θ 37.85, I 42
2θ 46.57, I 26
2θ 47.60, I 39
2θ 51.20, I 30

Structural model:
Cell lengths 9.1774, 9.1774, 9.1774 Å; angles 112.59, 112.59, 112.59 degrees
Atoms (fractional coordinates):
1 Er 0.0914 0.3564 0.5657
2 Er 0.3564 0.5657 0.0914
3 Er 0.4343 0.9086 0.6436
4 Er 0.5657 0.0914 0.3564
5 Er 0.6436 0.4343 0.9086
6 Er 0.9086 0.6436 0.4343
7 Si 0.1498 0.7973 0.2365
8 Si 0.2027 0.7635 0.8502
9 Si 0.2365 0.1498 0.7973
10 Si 0.7635 0.8502 0.2027
11 Si 0.7973 0.2365 0.1498
12 Si 0.8502 0.2027 0.7635
13 H 0.0726 0.3374 0.1770
14 H 0.1770 0.0726 0.3374
15 H 0.3374 0.1770 0.0726
16 H 0.6626 0.8230 0.9274
17 H 0.8230 0.9274 0.6626
18 H 0.9274 0.6626 0.8230
19 O 0.0087 0.9461 0.6482
20 O 0.0437 0.3345 0.2719
21 O 0.0539 0.3518 0.9913
22 O 0.1219 0.7776 0.3937
23 O 0.2038 0.7077 0.6558
24 O 0.2224 0.6063 0.8781
25 O 0.2719 0.0437 0.3345
26 O 0.2923 0.3442 0.7962
27 O 0.3345 0.2719 0.0437
28 O 0.3442 0.7962 0.2923
29 O 0.3518 0.9913 0.0539
30 O 0.3937 0.1219 0.7776
31 O 0.6063 0.8781 0.2224
32 O 0.6482 0.0087 0.9461
33 O 0.6558 0.2038 0.7077
34 O 0.6655 0.7281 0.9563
35 O 0.7077 0.6558 0.2038
36 O 0.7281 0.9563 0.6655
37 O 0.7776 0.3937 0.1219
38 O 0.7962 0.2923 0.3442
39 O 0.8781 0.2224 0.6063
40 O 0.9461 0.6482 0.0087
41 O 0.9563 0.6655 0.7281
42 O 0.9913 0.0539 0.3518